# 1
The following is a computed powder XRD pattern of Y2ZrIn3Ir2. It was derived from a GGA-PBE-relaxed structure, using CuKα.
Kinematic intensities with the Lorentz-polarization factor, no thermal factor.

Cell and atoms:
```
data_Y2ZrIn3Ir2
_chemical_formula_sum 'Y4 Zr2 In6 Ir4'
_cell_length_a 3.5210
_cell_length_b 13.1437
_cell_length_c 7.7032
_cell_angle_alpha 90.00
_cell_angle_beta 90.00
_cell_angle_gamma 90.00
_space_group_name_H-M_alt 'A m m 2'
_space_group_IT_number 38
loop_
_space_group_symop_operation_xyz
'x,y,z'
'-x,-y,z'
'-x,y,z'
'x,-y,z'
'x,y+1/2,z+1/2'
'-x,-y+1/2,z+1/2'
'-x,y+1/2,z+1/2'
'x,-y+1/2,z+1/2'
loop_
_atom_site_label
_atom_site_fract_x
_atom_site_fract_y
_atom_site_fract_z
Y1 0.0000 0.2094 0.0000
Zr1 0.0000 0.0000 0.3633
In1 0.5000 0.0000 0.0264
In2 0.5000 0.1147 0.6698
Ir1 0.5000 0.1575 0.2946
```

The 10 most intense peaks (10° ≤ 2θ ≤ 90°), sorted by position:
13.3 deg, rel. 32; 25.3 deg, rel. 37; 34.5 deg, rel. 45; 34.7 deg, rel. 100; 35.6 deg, rel. 47; 35.9 deg, rel. 44; 36.1 deg, rel. 32; 37.2 deg, rel. 57; 37.4 deg, rel. 41; 51.9 deg, rel. 26



# 2
The following is a computed powder XRD pattern of ErTmIn2Ni4. It was derived from a GGA-PBE-relaxed structure, using CuKα.
Kinematic intensities with the Lorentz-polarization factor, no thermal factor.

Cell and atoms:
```
data_ErTmIn2Ni4
_chemical_formula_sum 'Er1 Tm1 In2 Ni4'
_cell_length_a 3.9996
_cell_length_b 5.0587
_cell_length_c 6.9715
_cell_angle_alpha 90.00
_cell_angle_beta 90.00
_cell_angle_gamma 90.00
_space_group_name_H-M_alt 'P m m 2'
_space_group_IT_number 25
loop_
_space_group_symop_operation_xyz
'x,y,z'
'-x,-y,z'
'-x,y,z'
'x,-y,z'
loop_
_atom_site_label
_atom_site_fract_x
_atom_site_fract_y
_atom_site_fract_z
Er1 0.0000 0.0000 0.0000
Tm1 0.0000 0.5000 0.5326
In1 0.5000 0.0000 0.6224
In2 0.5000 0.5000 0.9106
Ni1 0.0000 0.0000 0.3780
Ni2 0.0000 0.5000 0.1562
Ni3 0.5000 0.2505 0.2673
```

The 10 most intense peaks (10° ≤ 2θ ≤ 90°), sorted by position:
31.3 deg, rel. 100; 34.1 deg, rel. 31; 35.5 deg, rel. 31; 38.6 deg, rel. 54; 42.8 deg, rel. 32; 44.3 deg, rel. 48; 45.3 deg, rel. 33; 48.8 deg, rel. 17; 61.1 deg, rel. 20; 64.1 deg, rel. 19



# 3
The following is a computed powder XRD pattern of Dy4CBr4F. It was derived from a GGA-PBE-relaxed structure, using CuKα.
Kinematic intensities with the Lorentz-polarization factor, no thermal factor.

Cell and atoms:
```
data_Dy4CBr4F
_chemical_formula_sum 'Dy8 C2 Br8 F2'
_cell_length_a 17.6792
_cell_length_b 3.6725
_cell_length_c 7.4976
_cell_angle_alpha 90.00
_cell_angle_beta 101.34
_cell_angle_gamma 90.00
_space_group_name_H-M_alt 'C 1 2/m 1'
_space_group_IT_number 12
loop_
_space_group_symop_operation_xyz
'x,y,z'
'-x,-y,-z'
'-x,y,-z'
'x,-y,z'
'x+1/2,y+1/2,z'
'-x+1/2,-y+1/2,-z'
'-x+1/2,y+1/2,-z'
'x+1/2,-y+1/2,z'
loop_
_atom_site_label
_atom_site_fract_x
_atom_site_fract_y
_atom_site_fract_z
Dy1 0.0024 0.0000 0.2753
Dy2 0.1376 0.5000 0.5730
C1 0.0000 0.5000 0.5000
Br1 0.1609 0.0000 0.8619
Br2 0.1721 0.0000 0.3119
F1 0.0000 0.5000 0.0000
```

The 10 most intense peaks (10° ≤ 2θ ≤ 90°), sorted by position:
10.2 deg, rel. 17; 12.0 deg, rel. 52; 27.2 deg, rel. 17; 31.0 deg, rel. 47; 32.5 deg, rel. 20; 34.2 deg, rel. 100; 35.6 deg, rel. 52; 46.5 deg, rel. 30; 47.0 deg, rel. 24; 49.6 deg, rel. 19



# 4
The following is a computed powder XRD pattern of Dy2GePb. It was derived from a GGA-PBE-relaxed structure, using CuKα.
Kinematic intensities with the Lorentz-polarization factor, no thermal factor.

Cell and atoms:
```
data_Dy2GePb
_chemical_formula_sum 'Dy4 Ge2 Pb2'
_cell_length_a 3.3582
_cell_length_b 5.5258
_cell_length_c 14.2120
_cell_angle_alpha 90.00
_cell_angle_beta 90.00
_cell_angle_gamma 90.00
_space_group_name_H-M_alt 'A m m 2'
_space_group_IT_number 38
loop_
_space_group_symop_operation_xyz
'x,y,z'
'-x,-y,z'
'-x,y,z'
'x,-y,z'
'x,y+1/2,z+1/2'
'-x,-y+1/2,z+1/2'
'-x,y+1/2,z+1/2'
'x,-y+1/2,z+1/2'
loop_
_atom_site_label
_atom_site_fract_x
_atom_site_fract_y
_atom_site_fract_z
Dy1 0.0000 0.0000 0.0000
Dy2 0.0000 0.0000 0.2552
Ge1 0.0000 0.0000 0.8069
Pb1 0.0000 0.0000 0.6078
```

The 10 most intense peaks (10° ≤ 2θ ≤ 90°), sorted by position:
12.5 deg, rel. 29; 24.8 deg, rel. 88; 26.5 deg, rel. 100; 32.4 deg, rel. 60; 35.5 deg, rel. 56; 36.6 deg, rel. 65; 42.4 deg, rel. 58; 44.9 deg, rel. 59; 66.6 deg, rel. 18; 66.9 deg, rel. 18



# 5
The following is a computed powder XRD pattern of Sm2GdTa2As6. It was derived from a GGA-PBE-relaxed structure, using CuKα.
Kinematic intensities with the Lorentz-polarization factor, no thermal factor.

Cell and atoms:
```
data_Sm2GdTa2As6
_chemical_formula_sum 'Sm4 Gd2 Ta4 As12'
_cell_length_a 4.8628
_cell_length_b 4.8628
_cell_length_c 23.4836
_cell_angle_alpha 90.00
_cell_angle_beta 90.00
_cell_angle_gamma 90.00
_space_group_name_H-M_alt 'I 4/m m m'
_space_group_IT_number 139
_space_group_name_Hall '-I 4 2'
loop_
_atom_site_label
_atom_site_fract_x
_atom_site_fract_y
_atom_site_fract_z
Sm1 0.0000 0.0000 0.1634
Gd1 0.0000 0.0000 0.0000
Ta1 0.0000 0.0000 0.3903
As1 0.0000 0.0000 0.2883
As2 0.0000 0.5000 0.0792
```

The 10 most intense peaks (10° ≤ 2θ ≤ 90°), sorted by position:
15.1 deg, rel. 40; 25.9 deg, rel. 66; 26.4 deg, rel. 66; 32.4 deg, rel. 36; 34.7 deg, rel. 43; 37.0 deg, rel. 100; 39.2 deg, rel. 41; 46.0 deg, rel. 30; 53.3 deg, rel. 35; 55.0 deg, rel. 31



# 6
The following is a computed powder XRD pattern of Rb2Ni3Sb2. It was derived from a GGA-PBE-relaxed structure, using CuKα.
Kinematic intensities with the Lorentz-polarization factor, no thermal factor.

Cell and atoms:
```
data_Rb2Ni3Sb2
_chemical_formula_sum 'Rb6 Ni9 Sb6'
_cell_length_a 4.3246
_cell_length_b 4.3246
_cell_length_c 36.1970
_cell_angle_alpha 90.00
_cell_angle_beta 90.00
_cell_angle_gamma 120.00
_space_group_name_H-M_alt 'R 3 m'
_space_group_IT_number 160
_space_group_name_Hall 'R 3 -2"'
loop_
_atom_site_label
_atom_site_fract_x
_atom_site_fract_y
_atom_site_fract_z
Rb1 0.0000 0.0000 0.0000
Rb2 0.0000 0.0000 0.4947
Ni1 0.0000 0.0000 0.4059
Ni2 0.0000 0.0000 0.5863
Ni3 0.0000 0.0000 0.9063
Sb1 0.0000 0.0000 0.2466
Sb2 0.0000 0.0000 0.7447
```

The 10 most intense peaks (10° ≤ 2θ ≤ 90°), sorted by position:
14.7 deg, rel. 86; 25.7 deg, rel. 85; 29.6 deg, rel. 79; 31.0 deg, rel. 90; 41.8 deg, rel. 100; 44.5 deg, rel. 30; 52.0 deg, rel. 93; 56.5 deg, rel. 24; 77.1 deg, rel. 22; 83.9 deg, rel. 23



# 7
The following is a computed powder XRD pattern of Pr2NiAu. It was derived from a GGA-PBE-relaxed structure, using CuKα.
Kinematic intensities with the Lorentz-polarization factor, no thermal factor.

Cell and atoms:
```
data_Pr2NiAu
_chemical_formula_sum 'Pr4 Ni2 Au2'
_cell_length_a 4.6182
_cell_length_b 5.7152
_cell_length_c 7.4157
_cell_angle_alpha 90.00
_cell_angle_beta 90.00
_cell_angle_gamma 90.00
_space_group_name_H-M_alt 'P m c 21'
_space_group_IT_number 26
loop_
_space_group_symop_operation_xyz
'x,y,z'
'-x,-y,z+1/2'
'-x,y,z'
'x,-y,z+1/2'
loop_
_atom_site_label
_atom_site_fract_x
_atom_site_fract_y
_atom_site_fract_z
Pr1 0.0000 0.1109 0.0000
Pr2 0.5000 0.3806 0.3641
Ni1 0.5000 0.1159 0.7205
Au1 0.0000 0.3819 0.6464
```

The 10 most intense peaks (10° ≤ 2θ ≤ 90°), sorted by position:
27.6 deg, rel. 29; 30.9 deg, rel. 54; 33.6 deg, rel. 41; 34.8 deg, rel. 64; 39.0 deg, rel. 100; 39.7 deg, rel. 23; 51.8 deg, rel. 14; 52.4 deg, rel. 23; 56.9 deg, rel. 16; 66.7 deg, rel. 13



# 8
The following is a computed powder XRD pattern of Ta16Re13. It was derived from a GGA-PBE-relaxed structure, using CuKα.
Kinematic intensities with the Lorentz-polarization factor, no thermal factor.

Cell and atoms:
```
data_Ta16Re13
_chemical_formula_sum 'Ta32 Re26'
_cell_length_a 9.9503
_cell_length_b 9.9503
_cell_length_c 9.9503
_cell_angle_alpha 90.00
_cell_angle_beta 90.00
_cell_angle_gamma 90.00
_space_group_name_H-M_alt 'I -4 3 m'
_space_group_IT_number 217
_space_group_name_Hall 'I -4 2 3'
loop_
_atom_site_label
_atom_site_fract_x
_atom_site_fract_y
_atom_site_fract_z
Ta1 0.0415 0.3588 0.6412
Ta2 0.1720 0.1720 0.1720
Re1 0.0000 0.0000 0.0000
Re2 0.0926 0.0926 0.7199
```

The 10 most intense peaks (10° ≤ 2θ ≤ 90°), sorted by position:
36.1 deg, rel. 8; 38.4 deg, rel. 100; 42.6 deg, rel. 29; 44.6 deg, rel. 11; 46.5 deg, rel. 18; 64.9 deg, rel. 5; 66.4 deg, rel. 9; 69.4 deg, rel. 27; 70.9 deg, rel. 6; 82.2 deg, rel. 9



# 9
The following is a computed powder XRD pattern of Li2HfHg. It was derived from a GGA-PBE-relaxed structure, using CuKα.
Kinematic intensities with the Lorentz-polarization factor, no thermal factor.

Cell and atoms:
```
data_Li2HfHg
_chemical_formula_sum 'Li8 Hf4 Hg4'
_cell_length_a 6.5628
_cell_length_b 6.5628
_cell_length_c 6.5628
_cell_angle_alpha 90.00
_cell_angle_beta 90.00
_cell_angle_gamma 90.00
_space_group_name_H-M_alt 'F -4 3 m'
_space_group_IT_number 216
_space_group_name_Hall 'F -4 2 3'
loop_
_atom_site_label
_atom_site_fract_x
_atom_site_fract_y
_atom_site_fract_z
Li1 0.0000 0.0000 0.0000
Li2 0.2500 0.2500 0.2500
Hf1 0.0000 0.0000 0.5000
Hg1 0.2500 0.2500 0.7500
```

The 9 most intense peaks (10° ≤ 2θ ≤ 90°), sorted by position:
23.5 deg, rel. 100; 38.8 deg, rel. 93; 45.9 deg, rel. 52; 56.1 deg, rel. 16; 61.6 deg, rel. 22; 70.3 deg, rel. 33; 75.2 deg, rel. 17; 83.3 deg, rel. 11; 88.0 deg, rel. 17



# 10
The following is a computed powder XRD pattern of NaAuI4O12. It was derived from a GGA-PBE-relaxed structure, using CuKα.
Kinematic intensities with the Lorentz-polarization factor, no thermal factor.

Cell and atoms:
```
data_NaAuI4O12
_chemical_formula_sum 'Na1 Au1 I4 O12'
_cell_length_a 5.3309
_cell_length_b 6.8795
_cell_length_c 8.0298
_cell_angle_alpha 105.72
_cell_angle_beta 95.26
_cell_angle_gamma 110.51
_space_group_name_H-M_alt 'P 1'
_space_group_IT_number 1
loop_
_space_group_symop_operation_xyz
'x,y,z'
loop_
_atom_site_label
_atom_site_fract_x
_atom_site_fract_y
_atom_site_fract_z
Na1 0.0000 0.0000 0.0000
Au1 0.2013 0.0037 0.4620
I1 0.3301 0.6930 0.6879
I2 0.3334 0.6434 0.1537
I3 0.6428 0.3443 0.8444
I4 0.7082 0.3145 0.3262
O1 0.0261 0.3835 0.0788
O2 0.0592 0.7682 0.5720
O3 0.0887 0.7875 0.2183
O4 0.1748 0.7146 0.8824
O5 0.2861 0.2297 0.6991
O6 0.3332 0.2355 0.3457
O7 0.4679 0.6557 0.3757
O8 0.4814 0.3055 0.0340
O9 0.6109 0.9653 0.7628
O10 0.6438 0.6217 0.8792
O11 0.6973 0.0423 0.2149
O12 0.8448 0.3353 0.5530
```

The 10 most intense peaks (10° ≤ 2θ ≤ 90°), sorted by position:
18.2 deg, rel. 44; 18.3 deg, rel. 46; 26.7 deg, rel. 66; 27.5 deg, rel. 84; 27.8 deg, rel. 100; 29.2 deg, rel. 90; 31.1 deg, rel. 63; 31.6 deg, rel. 57; 44.6 deg, rel. 41; 45.4 deg, rel. 41



# 11
The following is a computed powder XRD pattern of Pa3CuS6. It was derived from a GGA-PBE-relaxed structure, using CuKα.
Kinematic intensities with the Lorentz-polarization factor, no thermal factor.

Cell and atoms:
```
data_Pa3CuS6
_chemical_formula_sum 'Pa12 Cu4 S24'
_cell_length_a 10.6909
_cell_length_b 12.8609
_cell_length_c 6.3716
_cell_angle_alpha 90.00
_cell_angle_beta 90.00
_cell_angle_gamma 90.00
_space_group_name_H-M_alt 'C m c 21'
_space_group_IT_number 36
loop_
_space_group_symop_operation_xyz
'x,y,z'
'-x,-y,z+1/2'
'-x,y,z'
'x,-y,z+1/2'
'x+1/2,y+1/2,z'
'-x+1/2,-y+1/2,z+1/2'
'-x+1/2,y+1/2,z'
'x+1/2,-y+1/2,z+1/2'
loop_
_atom_site_label
_atom_site_fract_x
_atom_site_fract_y
_atom_site_fract_z
Pa1 0.0000 0.1049 0.0000
Pa2 0.1707 0.4009 0.0960
Cu1 0.0000 0.3009 0.6535
S1 0.0000 0.2726 0.2877
S2 0.0000 0.4681 0.7966
S3 0.1633 0.0351 0.2984
S4 0.1740 0.2316 0.8192
```

The 10 most intense peaks (10° ≤ 2θ ≤ 90°), sorted by position:
17.6 deg, rel. 50; 19.6 deg, rel. 22; 25.8 deg, rel. 100; 25.9 deg, rel. 38; 26.4 deg, rel. 78; 35.7 deg, rel. 31; 38.5 deg, rel. 51; 39.1 deg, rel. 26; 39.8 deg, rel. 28; 43.4 deg, rel. 50



# 12
The following is a computed powder XRD pattern of YTmZn6. It was derived from a GGA-PBE-relaxed structure, using CuKα.
Kinematic intensities with the Lorentz-polarization factor, no thermal factor.

Cell and atoms:
```
data_YTmZn6
_chemical_formula_sum 'Y1 Tm1 Zn6'
_cell_length_a 4.6480
_cell_length_b 6.5875
_cell_length_c 4.6481
_cell_angle_alpha 90.00
_cell_angle_beta 90.00
_cell_angle_gamma 90.00
_space_group_name_H-M_alt 'P m m 2'
_space_group_IT_number 25
loop_
_space_group_symop_operation_xyz
'x,y,z'
'-x,-y,z'
'-x,y,z'
'x,-y,z'
loop_
_atom_site_label
_atom_site_fract_x
_atom_site_fract_y
_atom_site_fract_z
Y1 0.0000 0.0000 0.0000
Tm1 0.5000 0.5000 0.4931
Zn1 0.0000 0.2541 0.5007
Zn2 0.0000 0.5000 0.9995
Zn3 0.5000 0.0000 0.4944
Zn4 0.5000 0.2541 0.9925
```

The 10 most intense peaks (10° ≤ 2θ ≤ 90°), sorted by position:
13.4 deg, rel. 3; 23.4 deg, rel. 7; 27.1 deg, rel. 4; 38.7 deg, rel. 100; 45.7 deg, rel. 4; 55.8 deg, rel. 6; 56.0 deg, rel. 11; 70.1 deg, rel. 33; 83.0 deg, rel. 7; 83.1 deg, rel. 3